Diffraction record for BaTiTeO5. The X-ray powder pattern is computed, not measured: it uses the GGA-PBE geometry in Alexandria and Cu Kα (λ = 1.5418 Å).
Lines closer than 0.1° are merged.

Cell: 6.0472 6.0472 8.0570 Å, 107.16 107.16 101.12°
Atoms (fractional coordinates):
Ba  0.0748  0.9252  0.7500
Ba  0.9252  0.0748  0.2500
Ti  0.0000  0.5000  0.0000
Ti  0.5000  0.0000  0.5000
Te  0.4749  0.5251  0.7500
Te  0.5251  0.4749  0.2500
O  0.1588  0.2675  0.0617
O  0.2394  0.7606  0.2500
O  0.2575  0.5961  0.8838
O  0.2675  0.1588  0.5617
O  0.4039  0.7425  0.6162
O  0.5961  0.2575  0.3838
O  0.7325  0.8412  0.4383
O  0.7425  0.4039  0.1162
O  0.7606  0.2394  0.7500
O  0.8412  0.7325  0.9383

Main lines, in order of rising 2θ (2θ = 10–90°):
23.8°, rel. 648
25.0°, rel. 483
26.2°, rel. 517
26.5°, rel. 1000
31.6°, rel. 653
31.7°, rel. 706

Diffraction record for PrNpAsO2. The X-ray powder pattern is computed, not measured: it uses the GGA-PBE geometry in Alexandria and Cu Kα (λ = 1.5418 Å).
Lines closer than 0.1° are merged.

Cell: 3.8726 3.8726 12.4030 Å, 90.00 90.00 90.00°
Atoms (fractional coordinates):
Pr  0.0000  0.0000  0.0000
Pr  0.5000  0.5000  0.5000
Np  0.0000  0.0000  0.2937
Np  0.5000  0.5000  0.7937
As  0.0000  0.0000  0.6459
As  0.5000  0.5000  0.1459
O  0.0000  0.5000  0.3831
O  0.0000  0.5000  0.8831
O  0.5000  0.0000  0.3831
O  0.5000  0.0000  0.8831

Main lines, in order of rising 2θ (2θ = 10–90°):
24.1°, rel. 287
31.7°, rel. 1000
32.7°, rel. 438
44.1°, rel. 167
46.9°, rel. 216
57.7°, rel. 369

Diffraction record for Ca4BiPtO. The X-ray powder pattern is computed, not measured: it uses the GGA-PBE geometry in Alexandria and Cu Kα (λ = 1.5418 Å).
Lines closer than 0.1° are merged.

Cell: 4.6610 4.6610 16.2513 Å, 90.00 90.00 90.00°
Atoms (fractional coordinates):
Ca  0.0000  0.0000  0.0000
Ca  0.0000  0.0000  0.3520
Ca  0.0000  0.5000  0.1971
Ca  0.0000  0.5000  0.6971
Ca  0.5000  0.0000  0.1971
Ca  0.5000  0.0000  0.6971
Ca  0.5000  0.5000  0.5000
Ca  0.5000  0.5000  0.8520
Bi  0.0000  0.0000  0.5509
Bi  0.5000  0.5000  0.0509
Pt  0.0000  0.0000  0.8224
Pt  0.5000  0.5000  0.3224
O  0.0000  0.0000  0.2087
O  0.5000  0.5000  0.7087

Main lines, in order of rising 2θ (2θ = 10–90°):
19.8°, rel. 749
21.9°, rel. 344
25.2°, rel. 726
27.1°, rel. 746
35.1°, rel. 1000
38.6°, rel. 578

Diffraction record for ScTl2RhO6. The X-ray powder pattern is computed, not measured: it uses the GGA-PBE geometry in Alexandria and Cu Kα (λ = 1.5418 Å).
Lines closer than 0.1° are merged.

Cell: 5.6901 5.6901 5.6901 Å, 59.08 59.08 59.08°
Atoms (fractional coordinates):
Sc  0.0000  0.0000  0.0000
Tl  0.2611  0.2611  0.2611
Tl  0.7719  0.7719  0.7719
Rh  0.4942  0.4942  0.4942
O  0.1440  0.7214  0.3585
O  0.2364  0.6329  0.8447
O  0.3585  0.1440  0.7214
O  0.6329  0.8447  0.2364
O  0.7214  0.3585  0.1440
O  0.8447  0.2364  0.6329

Main lines, in order of rising 2θ (2θ = 10–90°):
22.3°, rel. 493
31.5°, rel. 1000
31.9°, rel. 933
45.4°, rel. 451
56.6°, rel. 408
56.8°, rel. 255

Diffraction record for PmBiPdO6. The X-ray powder pattern is computed, not measured: it uses the GGA-PBE geometry in Alexandria and Cu Kα (λ = 1.5418 Å).
Lines closer than 0.1° are merged.

Cell: 5.0282 5.0282 10.1130 Å, 90.00 90.00 90.00°
Atoms (fractional coordinates):
Pm  0.0000  0.0000  0.0000
Pm  0.5000  0.5000  0.5000
Bi  0.0000  0.0000  0.6665
Bi  0.5000  0.5000  0.1665
Pd  0.0000  0.0000  0.3316
Pd  0.5000  0.5000  0.8316
O  0.1771  0.1771  0.4879
O  0.1945  0.1945  0.1795
O  0.2112  0.2112  0.8250
O  0.2888  0.7112  0.3250
O  0.3055  0.6945  0.6795
O  0.3229  0.6771  0.9879
O  0.6771  0.3229  0.9879
O  0.6945  0.3055  0.6795
O  0.7112  0.2888  0.3250
O  0.7888  0.7888  0.8250
O  0.8055  0.8055  0.1795
O  0.8229  0.8229  0.4879

Main lines, in order of rising 2θ (2θ = 10–90°):
25.0°, rel. 1000
32.0°, rel. 871
35.7°, rel. 266
48.7°, rel. 694
60.8°, rel. 170
61.8°, rel. 201

Diffraction record for Sm4InBiO. The X-ray powder pattern is computed, not measured: it uses the GGA-PBE geometry in Alexandria and Cu Kα (λ = 1.5418 Å).
Lines closer than 0.1° are merged.

Cell: 9.4495 9.4495 6.5535 Å, 90.00 90.00 139.01°
Atoms (fractional coordinates):
Sm  0.0000  0.5000  0.0000
Sm  0.0000  0.5000  0.5000
Sm  0.0653  0.9347  0.7500
Sm  0.4187  0.5813  0.7500
Sm  0.5000  0.0000  0.0000
Sm  0.5000  0.0000  0.5000
Sm  0.5813  0.4187  0.2500
Sm  0.9347  0.0653  0.2500
In  0.1137  0.8863  0.2500
In  0.8863  0.1137  0.7500
Bi  0.3901  0.6099  0.2500
Bi  0.6099  0.3901  0.7500
O  0.2839  0.7161  0.7500
O  0.7161  0.2839  0.2500

Main lines, in order of rising 2θ (2θ = 10–90°):
28.8°, rel. 670
29.1°, rel. 655
33.8°, rel. 735
34.0°, rel. 749
38.7°, rel. 1000
49.9°, rel. 582

Diffraction record for CaNd4Rh4O12. The X-ray powder pattern is computed, not measured: it uses the GGA-PBE geometry in Alexandria and Cu Kα (λ = 1.5418 Å).
Lines closer than 0.1° are merged.

Cell: 6.3567 7.5414 6.3989 Å, 90.00 107.82 90.00°
Atoms (fractional coordinates):
Ca  0.0000  0.0000  0.0000
Nd  0.3955  0.5000  0.5446
Nd  0.4327  0.0000  0.7362
Nd  0.7463  0.0000  0.3254
Nd  0.8738  0.5000  0.1034
Rh  0.4240  0.2643  0.1389
Rh  0.4240  0.7357  0.1389
Rh  0.9422  0.2722  0.6659
Rh  0.9422  0.7278  0.6659
O  0.0417  0.0000  0.6443
O  0.1644  0.3036  0.2619
O  0.1644  0.6964  0.2619
O  0.2703  0.3029  0.8062
O  0.2703  0.6971  0.8062
O  0.3511  0.0000  0.0798
O  0.5475  0.5000  0.2207
O  0.5923  0.2111  0.5018
O  0.5923  0.7889  0.5018
O  0.6956  0.1958  0.0182
O  0.6956  0.8042  0.0182
O  0.8148  0.5000  0.7222

Main lines, in order of rising 2θ (2θ = 10–90°):
20.9°, rel. 313
29.3°, rel. 1000
29.5°, rel. 383
30.9°, rel. 280
33.7°, rel. 855
49.3°, rel. 266

Diffraction record for B3N4. The X-ray powder pattern is computed, not measured: it uses the GGA-PBE geometry in Alexandria and Cu Kα (λ = 1.5418 Å).
Lines closer than 0.1° are merged.

Cell: 4.5420 4.5420 4.5420 Å, 90.00 90.00 90.00°
Atoms (fractional coordinates):
B  0.0000  0.2500  0.5000
B  0.0000  0.7500  0.5000
B  0.2500  0.5000  0.0000
B  0.5000  0.0000  0.2500
B  0.5000  0.0000  0.7500
B  0.7500  0.5000  0.0000
N  0.0000  0.0000  0.0000
N  0.0000  0.5000  0.2500
N  0.0000  0.5000  0.7500
N  0.2500  0.0000  0.5000
N  0.5000  0.2500  0.0000
N  0.5000  0.5000  0.5000
N  0.5000  0.7500  0.0000
N  0.7500  0.0000  0.5000

Main lines, in order of rising 2θ (2θ = 10–90°):
27.8°, rel. 214
39.7°, rel. 570
49.1°, rel. 1000
72.0°, rel. 172
78.9°, rel. 337
85.5°, rel. 175